No. 1
Structure and computed powder diffraction line list of PuNp2F8 (DFT lattice parameters and positions (GGA-PBE); Cu Kα (weighted mean of Kα1 and Kα2)).
Neutral-atom scattering factors, no anomalous dispersion.

Structural model:
```
data_PuNp2F8
_chemical_formula_sum 'Pu2 Np4 F16'
_cell_length_a 3.894
_cell_length_b 6.745
_cell_length_c 11.408
_cell_angle_alpha 90.00
_cell_angle_beta 90.00
_cell_angle_gamma 90.00
_symmetry_space_group_name_H-M 'I m m m'
_symmetry_Int_Tables_number 71
_symmetry_space_group_name_Hall '-I 2 2'
loop_
_atom_site_label
_atom_site_fract_x
_atom_site_fract_y
_atom_site_fract_z
_atom_site_occupancy
Pu1 0.000 0.000 0.000 1
Np1 0.000 0.000 0.318 1
F1 0.000 0.189 0.500 1
F2 0.000 0.278 0.162 1
F3 0.000 0.500 0.355 1
```

Largest 12 diffraction maxima, sorted by position, 2θ from 10° to 90°:
- (1 1 0), d = 3.372 Å, rel. 100
- (0 1 3), d = 3.312 Å, rel. 62
- (1 0 3), d = 2.721 Å, rel. 32
- (1 2 3), d = 2.118 Å, rel. 60
- (2 0 0), d = 1.947 Å, rel. 28
- (0 3 3), d = 1.935 Å, rel. 14
- (0 4 0), d = 1.686 Å, rel. 16
- (2 1 3), d = 1.679 Å, rel. 19
- (1 1 6), d = 1.656 Å, rel. 22
- (1 4 3), d = 1.433 Å, rel. 12
- (2 0 6), d = 1.360 Å, rel. 14
- (2 4 0), d = 1.275 Å, rel. 14



No. 2
Structure and computed powder diffraction line list of RbNpTlF6 (DFT lattice parameters and positions (GGA-PBE); Cu Kα (weighted mean of Kα1 and Kα2)).
Neutral-atom scattering factors, no anomalous dispersion.

Structural model:
```
data_RbNpTlF6
_chemical_formula_sum 'Rb2 Np2 Tl2 F12'
_cell_length_a 6.9657
_cell_length_b 6.9657
_cell_length_c 9.5424
_cell_angle_alpha 90.00
_cell_angle_beta 90.00
_cell_angle_gamma 120.00
_symmetry_space_group_name_H-M 'P -3 1 c'
_symmetry_Int_Tables_number 163
_symmetry_space_group_name_Hall '-P 3 2c'
loop_
_atom_site_label
_atom_site_fract_x
_atom_site_fract_y
_atom_site_fract_z
_atom_site_occupancy
Rb1 0.3333 0.6667 0.2500 1
Np1 0.3333 0.6667 0.7500 1
Tl1 0.0000 0.0000 0.0000 1
F1 0.0728 0.4008 0.6275 1
```

Largest 12 diffraction maxima, sorted by position, 2θ from 10° to 90°:
- (1 0 1), d = 5.099 Å, rel. 34
- (1 0 2), d = 3.742 Å, rel. 100
- (1 1 0), d = 3.483 Å, rel. 71
- (1 1 2), d = 2.813 Å, rel. 12
- (2 0 2), d = 2.550 Å, rel. 37
- (2 1 2), d = 2.057 Å, rel. 40
- (3 0 0), d = 2.011 Å, rel. 24
- (1 1 4), d = 1.968 Å, rel. 43
- (3 1 2), d = 1.579 Å, rel. 18
- (3 0 4), d = 1.538 Å, rel. 22
- (4 -2 4), d = 1.407 Å, rel. 20
- (4 1 4), d = 1.153 Å, rel. 19



No. 3
Structure and computed powder diffraction line list of Np4S6F (DFT lattice parameters and positions (GGA-PBE); Cu Kα (weighted mean of Kα1 and Kα2)).
Neutral-atom scattering factors, no anomalous dispersion.

Structural model:
```
data_Np4S6F
_chemical_formula_sum 'Np4 S6 F1'
_cell_length_a 8.3831
_cell_length_b 8.3831
_cell_length_c 3.7444
_cell_angle_alpha 90.00
_cell_angle_beta 90.00
_cell_angle_gamma 120.00
_symmetry_space_group_name_H-M 'P -6 m 2'
_symmetry_Int_Tables_number 187
_symmetry_space_group_name_Hall 'P -6 2'
loop_
_atom_site_label
_atom_site_fract_x
_atom_site_fract_y
_atom_site_fract_z
_atom_site_occupancy
Np1 0.0000 0.0000 0.0000 1
Np2 0.0198 0.5099 0.5000 1
S1 0.2072 0.4143 0.0000 1
S2 0.2807 0.1404 0.5000 1
F1 0.6667 0.3333 0.0000 1
```

Largest 12 diffraction maxima, sorted by position, 2θ from 10° to 90°:
- (2 0 0), d = 3.630 Å, rel. 100
- (1 0 1), d = 3.328 Å, rel. 40
- (1 1 1), d = 2.792 Å, rel. 37
- (2 0 1), d = 2.606 Å, rel. 31
- (2 1 1), d = 2.213 Å, rel. 48
- (2 2 0), d = 2.096 Å, rel. 36
- (3 0 1), d = 2.032 Å, rel. 17
- (4 0 0), d = 1.815 Å, rel. 17
- (2 0 2), d = 1.664 Å, rel. 26
- (2 2 2), d = 1.396 Å, rel. 20
- (4 3 1), d = 1.137 Å, rel. 14
- (4 2 2), d = 1.107 Å, rel. 14



No. 4
Structure and computed powder diffraction line list of NpTlS2F (DFT lattice parameters and positions (GGA-PBE); Cu Kα (weighted mean of Kα1 and Kα2)).
Neutral-atom scattering factors, no anomalous dispersion.

Structural model:
```
data_NpTlS2F
_chemical_formula_sum 'Np2 Tl2 S4 F2'
_cell_length_a 8.051
_cell_length_b 3.989
_cell_length_c 8.733
_cell_angle_alpha 90.00
_cell_angle_beta 105.63
_cell_angle_gamma 90.00
_symmetry_space_group_name_H-M 'P 1 21/m 1'
_symmetry_Int_Tables_number 11
loop_
_symmetry_equiv_pos_as_xyz
'x,y,z'
'-x,-y,-z'
'-x,y+1/2,-z'
'x,-y+1/2,z'
loop_
_atom_site_label
_atom_site_fract_x
_atom_site_fract_y
_atom_site_fract_z
_atom_site_occupancy
Np1 0.180 0.250 0.172 1
Tl1 0.254 0.250 0.680 1
S1 0.153 0.750 0.366 1
S2 0.168 0.750 0.957 1
F1 0.451 0.250 0.241 1
```

Largest 12 diffraction maxima, sorted by position, 2θ from 10° to 90°:
- (1 0 0), d = 7.754 Å, rel. 21
- (1 0 -2), d = 4.203 Å, rel. 55
- (2 0 0), d = 3.877 Å, rel. 45
- (1 1 0), d = 3.547 Å, rel. 70
- (1 0 2), d = 3.336 Å, rel. 39
- (0 1 2), d = 2.894 Å, rel. 100
- (2 1 -2), d = 2.559 Å, rel. 15
- (3 1 -1), d = 2.225 Å, rel. 14
- (1 0 -4), d = 2.183 Å, rel. 17
- (2 1 2), d = 2.136 Å, rel. 42
- (0 2 0), d = 1.995 Å, rel. 18
- (0 1 4), d = 1.859 Å, rel. 28



No. 5
Structure and computed powder diffraction line list of Sm2NpF11 (DFT lattice parameters and positions (GGA-PBE); Cu Kα (weighted mean of Kα1 and Kα2)).
Neutral-atom scattering factors, no anomalous dispersion.

Structural model:
```
data_Sm2NpF11
_chemical_formula_sum 'Sm8 Np4 F44'
_cell_length_a 8.303
_cell_length_b 10.541
_cell_length_c 11.149
_cell_angle_alpha 90.00
_cell_angle_beta 90.00
_cell_angle_gamma 90.00
_symmetry_space_group_name_H-M 'I b a m'
_symmetry_Int_Tables_number 72
_symmetry_space_group_name_Hall '-I 2 2c'
loop_
_atom_site_label
_atom_site_fract_x
_atom_site_fract_y
_atom_site_fract_z
_atom_site_occupancy
Sm1 0.137 0.182 0.000 1
Np1 0.000 0.500 0.250 1
F1 0.000 0.000 0.000 1
F2 0.095 0.331 0.153 1
F3 0.126 0.224 0.500 1
F4 0.201 0.437 0.362 1
```

Largest 12 diffraction maxima, sorted by position, 2θ from 10° to 90°:
- (1 1 0), d = 6.522 Å, rel. 35
- (1 1 2), d = 4.238 Å, rel. 100
- (1 2 1), d = 4.136 Å, rel. 29
- (0 2 2), d = 3.830 Å, rel. 62
- (2 1 1), d = 3.650 Å, rel. 37
- (1 3 0), d = 3.236 Å, rel. 26
- (0 0 4), d = 2.787 Å, rel. 14
- (3 1 0), d = 2.677 Å, rel. 16
- (1 3 4), d = 2.112 Å, rel. 26
- (3 3 2), d = 2.026 Å, rel. 29
- (4 2 0), d = 1.931 Å, rel. 33
- (1 5 2), d = 1.918 Å, rel. 22



No. 6
Structure and computed powder diffraction line list of TbNp2F8 (DFT lattice parameters and positions (GGA-PBE); Cu Kα (weighted mean of Kα1 and Kα2)).
Neutral-atom scattering factors, no anomalous dispersion.

Structural model:
```
data_TbNp2F8
_chemical_formula_sum 'Tb2 Np4 F16'
_cell_length_a 3.840
_cell_length_b 6.791
_cell_length_c 11.120
_cell_angle_alpha 90.00
_cell_angle_beta 90.00
_cell_angle_gamma 90.00
_symmetry_space_group_name_H-M 'I m m m'
_symmetry_Int_Tables_number 71
_symmetry_space_group_name_Hall '-I 2 2'
loop_
_atom_site_label
_atom_site_fract_x
_atom_site_fract_y
_atom_site_fract_z
_atom_site_occupancy
Tb1 0.000 0.000 0.000 1
Np1 0.000 0.000 0.320 1
F1 0.000 0.191 0.500 1
F2 0.000 0.263 0.157 1
F3 0.000 0.500 0.370 1
```

Largest 12 diffraction maxima, sorted by position, 2θ from 10° to 90°:
- (0 2 0), d = 3.395 Å, rel. 45
- (1 1 0), d = 3.343 Å, rel. 100
- (0 1 3), d = 3.253 Å, rel. 87
- (1 0 3), d = 2.667 Å, rel. 43
- (1 2 3), d = 2.097 Å, rel. 89
- (1 3 0), d = 1.950 Å, rel. 21
- (0 3 3), d = 1.932 Å, rel. 23
- (2 0 0), d = 1.920 Å, rel. 18
- (2 1 3), d = 1.654 Å, rel. 26
- (1 1 6), d = 1.621 Å, rel. 24
- (1 4 3), d = 1.432 Å, rel. 16
- (2 3 3), d = 1.362 Å, rel. 15